KNiH9C2O10: calculated powder diffractogram (Cu Kα (λ = 1.5418 Å)), based on a DFT-relaxed cell (GGA+U, Alexandria).
Kinematic intensities with the Lorentz-polarization factor, no thermal factor.

Structural model:
```
KNiH9C2O10
1.0
5.9022 0.0000 0.0000
-0.2058 6.2535 0.0000
-1.9142 -2.7787 6.9238
K Ni H C O
1 1 9 2 10
direct
0.0000 0.0000 0.0000 K
0.0000 0.0000 0.5000 Ni
0.2547 0.7855 0.6522 H
0.4048 0.6552 0.1521 H
0.4520 0.1040 0.8084 H
0.4707 0.6751 0.8984 H
0.5000 0.5000 0.5000 H
0.5293 0.3249 0.1016 H
0.5480 0.8960 0.1916 H
0.5952 0.3448 0.8479 H
0.7453 0.2145 0.3478 H
0.0185 0.2992 0.6700 C
0.9815 0.7008 0.3300 C
0.0141 0.4699 0.7892 O
0.2007 0.9410 0.6996 O
0.3773 0.5349 0.6120 O
0.3976 0.7873 0.1079 O
0.4408 0.3982 0.2005 O
0.5592 0.6018 0.7995 O
0.6024 0.2127 0.8921 O
0.6227 0.4651 0.3880 O
0.7993 0.0590 0.3004 O
0.9859 0.5301 0.2108 O
```

Largest 10 diffraction maxima, by angle, 2θ = 10–80°:
15.6 deg, rel. 56.0, hkl 1 0 0
17.2 deg, rel. 47.1, hkl 1 0 -1
20.4 deg, rel. 39.9, hkl 1 -1 0
23.4 deg, rel. 100.0, hkl 1 1 0
26.2 deg, rel. 59.9, hkl 1 0 -2
26.3 deg, rel. 59.4, hkl 1 1 -2
30.8 deg, rel. 40.7, hkl 0 2 0
31.6 deg, rel. 50.1, hkl 2 0 0
32.0 deg, rel. 37.9, hkl 1 -1 2
35.9 deg, rel. 56.2, hkl 2 1 -2